1.
This entry pairs a crystal structure of Tl2N2F7 with its computed PXRD pattern. Radiation: λ = 1.5418 Å (Cu Kα). Structure: a crystal structure in Alexandria, relaxed with GGA-PBE.
Lines closer than 0.1° are merged.

Peak list (10 most intense, 2θ = 15–90°, by angle)
d/Å	two_theta	intensity
4.132	21.50	100
3.783	23.52	42
3.749	23.74	45
3.534	25.20	67
3.414	26.10	89
2.776	32.24	62
2.699	33.19	43
2.663	33.66	84
2.571	34.89	60
2.499	35.93	49

```
Tl2N2F7
1.0
8.284 -3.749 0.000
8.284 3.749 0.000
-0.262 0.000 3.783
Tl N F
2 2 7
Direct
0.249 0.751 0.000 Tl
0.751 0.249 0.000 Tl
0.194 0.194 0.466 N
0.806 0.806 0.534 N
0.054 0.342 0.240 F
0.080 0.080 0.522 F
0.342 0.054 0.240 F
0.500 0.500 0.500 F
0.658 0.946 0.760 F
0.920 0.920 0.478 F
0.946 0.658 0.760 F
```


2.
This entry pairs a crystal structure of Rb2BI7 with its computed PXRD pattern. Radiation: λ = 1.5418 Å (Cu Kα). Structure: a crystal structure in Alexandria, relaxed with GGA-PBE.
Lines closer than 0.1° are merged.

Peak list (10 most intense, 2θ = 15–90°, by angle)
d/Å	two_theta	intensity
5.876	15.08	27
3.392	26.27	100
2.949	30.31	31
2.932	30.49	62
2.696	33.23	32
2.261	39.88	18
2.079	43.53	39
2.073	43.66	20
1.769	51.67	22
1.696	54.07	18

```
Rb2BI7
1.0
-4.146 4.146 5.898
4.146 -4.146 5.898
4.146 4.146 -5.898
Rb B I
2 1 7
Direct
0.250 0.750 0.500 Rb
0.750 0.250 0.500 Rb
0.000 0.000 0.000 B
0.220 0.220 0.000 I
0.222 0.222 0.445 I
0.222 0.778 0.000 I
0.500 0.500 0.000 I
0.778 0.222 0.000 I
0.778 0.778 0.555 I
0.780 0.780 0.000 I
```


3.
This entry pairs a crystal structure of Na2Sc2Bi2Te with its computed PXRD pattern. Radiation: λ = 1.5418 Å (Cu Kα). Structure: a crystal structure in Alexandria, relaxed with GGA-PBE.
Lines closer than 0.1° are merged.

Peak list (10 most intense, 2θ = 15–90°, by angle)
d/Å	two_theta	intensity
5.104	17.37	39
3.834	23.20	72
3.797	23.43	89
2.802	31.94	100
2.788	32.11	43
2.685	33.37	69
2.199	41.04	33
1.939	46.86	70
1.899	47.91	25
1.357	69.26	22

```
Na2Sc2Bi2Te
1.0
-2.685 2.685 8.212
2.685 -2.685 8.212
2.685 2.685 -8.212
Na Sc Bi Te
2 2 2 1
Direct
0.192 0.192 0.000 Na
0.808 0.808 0.000 Na
0.000 0.500 0.500 Sc
0.500 0.000 0.500 Sc
0.386 0.386 0.000 Bi
0.614 0.614 0.000 Bi
0.000 0.000 0.000 Te
```


4.
This entry pairs a crystal structure of DyCoCu with its computed PXRD pattern. Radiation: λ = 1.5418 Å (Cu Kα). Structure: a crystal structure in Alexandria, relaxed with GGA-PBE.
Lines closer than 0.1° are merged.

Peak list (10 most intense, 2θ = 15–90°, by angle)
d/Å	two_theta	intensity
3.051	29.27	12
2.966	30.13	27
2.583	34.73	100
2.301	39.14	40
2.264	39.81	14
2.014	45.01	20
1.919	47.38	17
1.776	51.46	18
1.474	63.08	19
1.332	70.73	14

```
DyCoCu
1.0
7.265 -2.014 0.000
7.265 2.014 0.000
-1.008 0.000 3.703
Dy Co Cu
2 2 2
Direct
0.116 0.116 0.366 Dy
0.884 0.884 0.634 Dy
0.465 0.465 0.215 Co
0.535 0.535 0.785 Co
0.296 0.296 0.046 Cu
0.704 0.704 0.954 Cu
```


5.
This entry pairs a crystal structure of TaFe5 with its computed PXRD pattern. Radiation: λ = 1.5418 Å (Cu Kα). Structure: a crystal structure in Alexandria, relaxed with GGA-PBE.
Lines closer than 0.1° are merged.

Peak list (10 most intense, 2θ = 15–90°, by angle)
d/Å	two_theta	intensity
4.254	20.88	10
2.981	29.97	9
2.813	31.81	17
2.441	36.81	15
2.108	42.90	55
2.055	44.07	100
1.491	62.29	17
1.418	65.86	7
1.207	79.43	32
1.177	81.87	14

```
TaFe5
1.0
2.981 0.000 0.000
0.000 2.981 0.000
0.000 0.000 8.509
Ta Fe
1 5
Direct
0.000 0.000 0.000 Ta
0.000 0.000 0.339 Fe
0.000 0.000 0.661 Fe
0.500 0.500 0.179 Fe
0.500 0.500 0.500 Fe
0.500 0.500 0.821 Fe
```


6.
This entry pairs a crystal structure of CuNiPd3 with its computed PXRD pattern. Radiation: λ = 1.5418 Å (Cu Kα). Structure: a crystal structure in Alexandria, relaxed with GGA-PBE.
Lines closer than 0.1° are merged.

Peak list (10 most intense, 2θ = 15–90°, by angle)
d/Å	two_theta	intensity
2.497	35.97	16
2.417	37.20	12
2.294	39.28	13
2.230	40.44	100
2.167	41.67	47
2.128	42.48	43
2.105	42.96	40
2.073	43.67	39
1.628	56.54	14
1.236	77.21	12

```
CuNiPd3
1.0
5.771 -5.259 0.000
5.771 5.259 0.000
-1.376 0.000 4.689
Cu Ni Pd
4 4 12
Direct
0.094 0.906 0.750 Cu
0.127 0.873 0.250 Cu
0.873 0.127 0.750 Cu
0.906 0.094 0.250 Cu
0.353 0.458 0.035 Ni
0.458 0.353 0.535 Ni
0.542 0.647 0.465 Ni
0.647 0.542 0.965 Ni
0.026 0.618 0.866 Pd
0.144 0.270 0.637 Pd
0.225 0.600 0.477 Pd
0.270 0.144 0.137 Pd
0.382 0.974 0.634 Pd
0.400 0.775 0.023 Pd
0.600 0.225 0.977 Pd
0.618 0.026 0.366 Pd
0.730 0.856 0.863 Pd
0.775 0.400 0.523 Pd
0.856 0.730 0.363 Pd
0.974 0.382 0.134 Pd
```


7.
This entry pairs a crystal structure of Ce4PdCl4 with its computed PXRD pattern. Radiation: λ = 1.5418 Å (Cu Kα). Structure: a crystal structure in Alexandria, relaxed with GGA-PBE.
Lines closer than 0.1° are merged.

Peak list (10 most intense, 2θ = 15–90°, by angle)
d/Å	two_theta	intensity
3.664	24.29	17
3.471	25.67	16
2.645	33.89	58
2.520	35.63	100
2.499	35.93	48
2.490	36.08	89
1.832	49.78	17
1.794	50.91	16
1.735	52.75	16
1.507	61.52	19

```
Ce4PdCl4
1.0
3.471 0.000 0.000
0.028 7.870 0.000
0.007 0.166 8.367
Ce Pd Cl
4 1 4
Direct
0.001 0.381 0.195 Ce
0.002 0.773 0.410 Ce
0.998 0.227 0.590 Ce
0.999 0.619 0.805 Ce
0.500 0.500 0.500 Pd
0.498 0.681 0.103 Cl
0.498 0.907 0.688 Cl
0.502 0.093 0.312 Cl
0.502 0.319 0.897 Cl
```


8.
This entry pairs a crystal structure of La8Zn3SeI4 with its computed PXRD pattern. Radiation: λ = 1.5418 Å (Cu Kα). Structure: a crystal structure in Alexandria, relaxed with GGA-PBE.
Lines closer than 0.1° are merged.

Peak list (10 most intense, 2θ = 15–90°, by angle)
d/Å	two_theta	intensity
3.190	27.97	100
2.955	30.25	8
2.324	38.74	36
2.193	41.16	37
1.807	50.50	19
1.680	54.64	7
1.595	57.80	11
1.461	63.69	13
1.395	67.10	16
1.290	73.39	11

```
La8Zn3SeI4
1.0
4.387 2.533 7.836
-4.387 2.533 7.836
0.000 -5.065 7.836
La Zn Se I
8 3 1 4
Direct
0.239 0.239 0.239 La
0.243 0.736 0.736 La
0.264 0.264 0.757 La
0.264 0.757 0.264 La
0.736 0.243 0.736 La
0.736 0.736 0.243 La
0.757 0.264 0.264 La
0.761 0.761 0.761 La
0.000 0.000 0.500 Zn
0.000 0.500 0.000 Zn
0.500 0.000 0.000 Zn
0.500 0.500 0.500 Se
0.000 0.000 0.000 I
0.000 0.500 0.500 I
0.500 0.000 0.500 I
0.500 0.500 0.000 I
```